Starting from a crystal structure in Alexandria, relaxed with PBE+U, the X-ray diffraction stick pattern of Na3V5O10 was calculated for λ = 1.5418 Å (Cu Kα).
Lines closer than 0.1° are merged.

Largest 10 diffraction maxima, in order of falling intensity, 2θ from 10° to 90°:
| Position (°2θ) | I_rel |
| --- | --- |
| 15.9 | 1000 |
| 40.2 | 305 |
| 40.4 | 301 |
| 41.7 | 265 |
| 56.6 | 148 |
| 62.3 | 144 |
| 32.2 | 113 |
| 34.4 | 113 |
| 60.2 | 83 |
| 56.3 | 74 |

Structure:
```
data_Na3V5O10
_chemical_formula_sum 'Na3 V5 O10'
_cell_length_a 5.1133
_cell_length_b 6.5747
_cell_length_c 7.2630
_cell_angle_alpha 108.50
_cell_angle_beta 97.36
_cell_angle_gamma 104.31
_space_group_name_H-M_alt 'P 1'
_space_group_IT_number 1
_space_group_name_Hall 'P 1'
loop_
_atom_site_label
_atom_site_fract_x
_atom_site_fract_y
_atom_site_fract_z
Na1 0.0000 0.0000 0.0000
Na2 0.1861 0.3930 0.3988
Na3 0.7943 0.6057 0.6039
V1 0.2018 0.8983 0.4049
V2 0.3926 0.2948 0.8027
V3 0.5927 0.7037 0.1961
V4 0.7886 0.1032 0.5986
V5 0.9970 0.4987 0.9993
O1 0.0863 0.4200 0.7284
O2 0.1028 0.9862 0.6759
O3 0.2725 0.8093 0.1287
O4 0.2845 0.3897 0.0818
O5 0.4761 0.2111 0.5185
O6 0.4852 0.7787 0.4717
O7 0.7012 0.6092 0.9239
O8 0.7175 0.1920 0.8735
O9 0.9021 0.0094 0.3263
O10 0.9083 0.5911 0.2798
```